1.
Sc3MnSe: calculated X-ray diffraction stick pattern (copper Kα), based on DFT lattice parameters and positions (GGA-PBE).
Intensities are scaled so that the largest is 100.

Peak list (6 most intense, 2θ from 10° to 80°, in order of rising 2θ)
Position (°2θ)  Rel. int.
18.0  40
25.6  59
31.5  35
36.5  100
45.1  25
52.6  65

Unit cell a=4.925 b=4.925 c=4.925 alpha=90.00 beta=90.00 gamma=90.00
Fractional positions:
Sc1 0.000 0.000 0.500
Sc2 0.000 0.500 0.000
Sc3 0.500 0.000 0.000
Mn1 0.500 0.500 0.500
Se1 0.000 0.000 0.000

2.
Ac2Cd9Hg3: calculated X-ray diffraction stick pattern (copper Kα), based on DFT lattice parameters and positions (GGA-PBE).
Intensities are scaled so that the largest is 100.

Peak list (6 most intense, 2θ from 10° to 80°, in order of rising 2θ)
Position (°2θ)  Rel. int.
26.5  44
33.0  36
33.1  95
34.6  100
35.0  45
35.1  59

Unit cell a=8.921 b=8.921 c=10.206 alpha=90.00 beta=90.00 gamma=60.76
Fractional positions:
Ac1 0.007 0.313 0.250
Ac2 0.313 0.007 0.750
Ac3 0.687 0.993 0.250
Ac4 0.993 0.687 0.750
Cd1 0.028 0.649 0.095
Cd2 0.028 0.649 0.405
Cd3 0.153 0.847 0.250
Cd4 0.335 0.665 0.548
Cd5 0.335 0.665 0.952
Cd6 0.351 0.972 0.095
Cd7 0.351 0.972 0.405
Cd8 0.367 0.441 0.250
Cd9 0.441 0.367 0.750
Cd10 0.559 0.633 0.250
Cd11 0.633 0.559 0.750
Cd12 0.649 0.028 0.595
Cd13 0.649 0.028 0.905
Cd14 0.665 0.335 0.048
Cd15 0.665 0.335 0.452
Cd16 0.847 0.153 0.750
Cd17 0.972 0.351 0.595
Cd18 0.972 0.351 0.905
Hg1 0.000 0.000 0.000
Hg2 0.000 0.000 0.500
Hg3 0.307 0.307 0.000
Hg4 0.307 0.307 0.500
Hg5 0.693 0.693 0.000
Hg6 0.693 0.693 0.500

3.
Cs3Rb2F: calculated X-ray diffraction stick pattern (copper Kα), based on DFT lattice parameters and positions (GGA-PBE).
Intensities are scaled so that the largest is 100.

Peak list (6 most intense, 2θ from 10° to 80°, in order of rising 2θ)
Position (°2θ)  Rel. int.
21.1  92
21.5  100
22.5  46
23.7  86
32.9  35
41.7  35

Unit cell a=13.259 b=13.259 c=10.118 alpha=90.00 beta=90.00 gamma=147.13
Fractional positions:
Cs1 0.113 0.887 0.515
Cs2 0.113 0.887 0.985
Cs3 0.322 0.678 0.250
Cs4 0.678 0.322 0.750
Cs5 0.887 0.113 0.015
Cs6 0.887 0.113 0.485
Rb1 0.275 0.725 0.750
Rb2 0.476 0.524 0.750
Rb3 0.524 0.476 0.250
Rb4 0.725 0.275 0.250
F1 0.169 0.831 0.750
F2 0.831 0.169 0.250

4.
La3SmY6: calculated X-ray diffraction stick pattern (copper Kα), based on DFT lattice parameters and positions (GGA-PBE).
Intensities are scaled so that the largest is 100.

Peak list (6 most intense, 2θ from 10° to 80°, in order of rising 2θ)
Position (°2θ)  Rel. int.
27.1  68
29.5  80
29.8  100
30.1  79
32.1  84
33.1  61

Unit cell a=10.238 b=10.238 c=6.662 alpha=90.00 beta=90.00 gamma=95.33
Fractional positions:
La1 0.118 0.882 0.500
La2 0.246 0.366 0.768
La3 0.366 0.246 0.268
La4 0.634 0.754 0.768
La5 0.754 0.634 0.268
La6 0.882 0.118 0.000
Sm1 0.322 0.678 0.399
Sm2 0.678 0.322 0.899
Y1 0.038 0.200 0.495
Y2 0.052 0.461 0.162
Y3 0.200 0.038 0.995
Y4 0.272 0.728 0.892
Y5 0.461 0.052 0.662
Y6 0.472 0.528 0.088
Y7 0.528 0.472 0.588
Y8 0.539 0.948 0.162
Y9 0.728 0.272 0.392
Y10 0.800 0.962 0.495
Y11 0.948 0.539 0.662
Y12 0.962 0.800 0.995

5.
Be2FePt: calculated X-ray diffraction stick pattern (copper Kα), based on DFT lattice parameters and positions (GGA-PBE).
Intensities are scaled so that the largest is 100.

Peak list (6 most intense, 2θ from 10° to 80°, in order of rising 2θ)
Position (°2θ)  Rel. int.
20.8  54
32.0  100
34.8  45
42.8  84
49.3  40
69.9  46

Unit cell a=3.696 b=2.705 c=8.547 alpha=90.00 beta=90.00 gamma=90.00
Fractional positions:
Be1 0.000 0.000 0.000
Be2 0.000 0.500 0.500
Be3 0.500 0.000 0.151
Be4 0.500 0.500 0.651
Fe1 0.000 0.000 0.723
Fe2 0.000 0.500 0.223
Pt1 0.500 0.000 0.422
Pt2 0.500 0.500 0.922

6.
Nd7Al5Cd: calculated X-ray diffraction stick pattern (copper Kα), based on DFT lattice parameters and positions (GGA-PBE).
Intensities are scaled so that the largest is 100.

Peak list (6 most intense, 2θ from 10° to 80°, in order of rising 2θ)
Position (°2θ)  Rel. int.
24.1  54
27.3  100
30.2  86
33.3  58
34.4  96
36.7  75

Unit cell a=8.118 b=8.118 c=8.118 alpha=132.61 beta=104.18 gamma=94.48
Fractional positions:
Nd1 0.000 0.000 0.000
Nd2 0.276 0.591 0.685
Nd3 0.363 0.363 0.000
Nd4 0.412 0.088 0.324
Nd5 0.764 0.088 0.676
Nd6 0.827 0.327 0.500
Nd7 0.906 0.591 0.315
Al1 0.091 0.057 0.460
Al2 0.091 0.632 0.035
Al3 0.336 0.836 0.500
Al4 0.597 0.057 0.965
Al5 0.597 0.632 0.540
Cd1 0.685 0.685 0.000

7.
La2Pm5Tm6: calculated X-ray diffraction stick pattern (copper Kα), based on DFT lattice parameters and positions (GGA-PBE).
Intensities are scaled so that the largest is 100.

Peak list (6 most intense, 2θ from 10° to 80°, in order of rising 2θ)
Position (°2θ)  Rel. int.
29.1  30
30.8  65
31.3  42
31.5  69
32.0  100
34.1  45

Unit cell a=11.736 b=20.511 c=3.593 alpha=90.00 beta=90.00 gamma=90.00
Fractional positions:
La1 0.171 0.223 0.000
La2 0.329 0.723 0.000
La3 0.671 0.277 0.000
La4 0.829 0.777 0.000
Pm1 0.000 0.500 0.500
Pm2 0.089 0.784 0.500
Pm3 0.201 0.054 0.500
Pm4 0.299 0.554 0.500
Pm5 0.411 0.284 0.500
Pm6 0.500 0.000 0.500
Pm7 0.589 0.716 0.500
Pm8 0.701 0.446 0.500
Pm9 0.799 0.946 0.500
Pm10 0.911 0.216 0.500
Tm1 0.062 0.926 0.000
Tm2 0.072 0.639 0.000
Tm3 0.184 0.377 0.500
Tm4 0.316 0.877 0.500
Tm5 0.428 0.139 0.000
Tm6 0.438 0.426 0.000
Tm7 0.562 0.574 0.000
Tm8 0.572 0.861 0.000
Tm9 0.684 0.123 0.500
Tm10 0.816 0.623 0.500
Tm11 0.928 0.361 0.000
Tm12 0.938 0.074 0.000

8.
Rb3Cu5O4: calculated X-ray diffraction stick pattern (copper Kα), based on DFT lattice parameters and positions (GGA-PBE).
Intensities are scaled so that the largest is 100.

Peak list (6 most intense, 2θ from 10° to 80°, in order of rising 2θ)
Position (°2θ)  Rel. int.
25.7  87
27.0  27
28.2  29
29.9  100
30.5  75
52.2  27

Unit cell a=9.954 b=7.493 c=14.480 alpha=90.00 beta=106.55 gamma=90.00
Fractional positions:
Rb1 0.101 0.166 0.093
Rb2 0.101 0.334 0.593
Rb3 0.272 0.712 0.082
Rb4 0.272 0.788 0.582
Rb5 0.324 0.088 0.893
Rb6 0.324 0.412 0.393
Rb7 0.676 0.588 0.607
Rb8 0.676 0.912 0.107
Rb9 0.728 0.212 0.418
Rb10 0.728 0.288 0.918
Rb11 0.899 0.666 0.407
Rb12 0.899 0.834 0.907
Cu1 0.063 0.670 0.742
Cu2 0.063 0.830 0.242
Cu3 0.065 0.083 0.378
Cu4 0.065 0.417 0.878
Cu5 0.299 0.558 0.864
Cu6 0.299 0.942 0.364
Cu7 0.432 0.046 0.233
Cu8 0.432 0.454 0.733
Cu9 0.460 0.203 0.620
Cu10 0.460 0.297 0.120
Cu11 0.540 0.703 0.880
Cu12 0.540 0.797 0.380
Cu13 0.568 0.546 0.267
Cu14 0.568 0.954 0.767
Cu15 0.701 0.058 0.636
Cu16 0.701 0.442 0.136
Cu17 0.935 0.583 0.122
Cu18 0.935 0.917 0.622
Cu19 0.937 0.170 0.758
Cu20 0.937 0.330 0.258
O1 0.004 0.190 0.889
O2 0.004 0.310 0.389
O3 0.131 0.650 0.876
O4 0.131 0.850 0.376
O5 0.393 0.069 0.101
O6 0.393 0.431 0.601
O7 0.473 0.031 0.365
O8 0.473 0.469 0.865
O9 0.527 0.531 0.135
O10 0.527 0.969 0.635
O11 0.607 0.569 0.399
O12 0.607 0.931 0.899
O13 0.869 0.150 0.624
O14 0.869 0.350 0.124
O15 0.996 0.690 0.611
O16 0.996 0.810 0.111

9.
Pu3Ga2Ru4: calculated X-ray diffraction stick pattern (copper Kα), based on DFT lattice parameters and positions (GGA-PBE).
Intensities are scaled so that the largest is 100.

Peak list (6 most intense, 2θ from 10° to 80°, in order of rising 2θ)
Position (°2θ)  Rel. int.
25.1  52
34.4  100
36.2  53
37.8  90
40.0  70
52.0  51

Unit cell a=6.813 b=6.813 c=7.718 alpha=100.69 beta=100.69 gamma=88.76
Fractional positions:
Pu1 0.116 0.884 0.750
Pu2 0.241 0.474 0.396
Pu3 0.474 0.241 0.896
Pu4 0.526 0.759 0.104
Pu5 0.759 0.526 0.604
Pu6 0.884 0.116 0.250
Ga1 0.004 0.697 0.052
Ga2 0.303 0.996 0.448
Ga3 0.697 0.004 0.552
Ga4 0.996 0.303 0.948
Ru1 0.037 0.216 0.607
Ru2 0.216 0.037 0.107
Ru3 0.236 0.527 0.822
Ru4 0.473 0.764 0.678
Ru5 0.527 0.236 0.322
Ru6 0.764 0.473 0.178
Ru7 0.784 0.963 0.893
Ru8 0.963 0.784 0.393

10.
KBF4: calculated X-ray diffraction stick pattern (copper Kα), based on DFT lattice parameters and positions (GGA-PBE).
Intensities are scaled so that the largest is 100.

Peak list (6 most intense, 2θ from 10° to 80°, in order of rising 2θ)
Position (°2θ)  Rel. int.
24.0  100
31.6  41
36.0  33
38.8  34
46.1  38
49.0  24

Unit cell a=6.235 b=6.235 c=6.235 alpha=106.92 beta=106.92 gamma=114.71
Fractional positions:
K1 0.375 0.625 0.750
K2 0.625 0.375 0.250
B1 0.125 0.875 0.250
B2 0.875 0.125 0.750
F1 0.154 0.248 0.905
F2 0.157 0.752 0.405
F3 0.248 0.154 0.405
F4 0.248 0.843 0.095
F5 0.752 0.157 0.905
F6 0.752 0.846 0.595
F7 0.843 0.248 0.595
F8 0.846 0.752 0.095

11.
Sr2ZrCuHg: calculated X-ray diffraction stick pattern (copper Kα), based on DFT lattice parameters and positions (GGA-PBE).
Intensities are scaled so that the largest is 100.

Peak list (6 most intense, 2θ from 10° to 80°, in order of rising 2θ)
Position (°2θ)  Rel. int.
14.3  82
26.3  100
28.9  93
41.3  35
44.8  56
49.7  36

Unit cell a=6.179 b=6.179 c=5.347 alpha=90.00 beta=90.00 gamma=90.00
Fractional positions:
Sr1 0.000 0.500 0.000
Sr2 0.500 0.000 0.000
Zr1 0.000 0.000 0.000
Cu1 0.500 0.500 0.500
Hg1 0.000 0.000 0.500